(1)
Starting from a crystal structure in the Materials Project, relaxed with GGA-PBE, the X-ray powder pattern of MgBe13 was simulated for Cu Kα, 1.54184 Å.
Kinematic intensities with the Lorentz-polarization factor, no thermal factor.

Top 10 peaks for 10 to 90 degrees two-theta, in order of rising 2θ:
24.97 deg, intensity 41
30.71 deg, intensity 37
35.61 deg, intensity 19
39.98 deg, intensity 81
43.98 deg, intensity 100
53.77 deg, intensity 65
57.82 deg, intensity 32
66.90 deg, intensity 22
69.78 deg, intensity 31
78.15 deg, intensity 21

Unit cell a=7.1317 b=7.1317 c=7.1317 alpha=60.00 beta=60.00 gamma=60.00
Sites, in units of the cell vectors:
Mg1 0.2500 0.2500 0.2500
Mg2 0.7500 0.7500 0.7500
Be1 0.0000 0.0000 0.0000
Be2 0.0653 0.2902 0.7098
Be3 0.0653 0.7098 0.9347
Be4 0.0653 0.9347 0.2902
Be5 0.2098 0.4347 0.7902
Be6 0.2098 0.5653 0.4347
Be7 0.2098 0.7902 0.5653
Be8 0.2902 0.0653 0.9347
Be9 0.2902 0.7098 0.0653
Be10 0.2902 0.9347 0.7098
Be11 0.4347 0.2098 0.5653
Be12 0.4347 0.5653 0.7902
Be13 0.4347 0.7902 0.2098
Be14 0.5000 0.5000 0.5000
Be15 0.5653 0.2098 0.7902
Be16 0.5653 0.4347 0.2098
Be17 0.5653 0.7902 0.4347
Be18 0.7098 0.0653 0.2902
Be19 0.7098 0.2902 0.9347
Be20 0.7098 0.9347 0.0653
Be21 0.7902 0.2098 0.4347
Be22 0.7902 0.4347 0.5653
Be23 0.7902 0.5653 0.2098
Be24 0.9347 0.0653 0.7098
Be25 0.9347 0.2902 0.0653
Be26 0.9347 0.7098 0.2902



(2)
Starting from a crystal structure in the Materials Project, relaxed with GGA-PBE, the X-ray powder pattern of MgBeO3 was simulated for Cu Kα, 1.54184 Å.
Kinematic intensities with the Lorentz-polarization factor, no thermal factor.

Top 8 peaks for 10 to 90 degrees two-theta, in order of rising 2θ:
36.40 deg, intensity 15
44.98 deg, intensity 100
52.43 deg, intensity 60
59.19 deg, intensity 1
65.50 deg, intensity 7
77.32 deg, intensity 30
82.99 deg, intensity 1
88.60 deg, intensity 4

Unit cell a=3.4905 b=3.4905 c=3.4905 alpha=90.00 beta=90.00 gamma=90.00
Sites, in units of the cell vectors:
Mg1 0.0000 0.0000 0.0000
Be1 0.5000 0.5000 0.5000
O1 0.0000 0.5000 0.5000
O2 0.5000 0.0000 0.5000
O3 0.5000 0.5000 0.0000



(3)
Starting from a crystal structure in the Materials Project, relaxed with GGA-PBE, the X-ray powder pattern of Be12Mo was simulated for Cu Kα, 1.54184 Å.
Kinematic intensities with the Lorentz-polarization factor, no thermal factor.

Top 10 peaks for 10 to 90 degrees two-theta, in order of rising 2θ:
17.37 deg, intensity 100
24.53 deg, intensity 86
24.66 deg, intensity 38
35.08 deg, intensity 100
39.46 deg, intensity 30
43.33 deg, intensity 33
50.29 deg, intensity 26
50.51 deg, intensity 62
59.86 deg, intensity 17
68.74 deg, intensity 17

Unit cell a=5.5205 b=5.5205 c=5.5205 alpha=98.31 beta=98.31 gamma=135.32
Sites, in units of the cell vectors:
Be1 0.0000 0.0000 0.5000
Be2 0.0000 0.2109 0.2109
Be3 0.0000 0.5000 0.0000
Be4 0.0000 0.7891 0.7891
Be5 0.1494 0.5000 0.6494
Be6 0.2109 0.0000 0.2109
Be7 0.5000 0.0000 0.0000
Be8 0.5000 0.1494 0.6494
Be9 0.5000 0.5000 0.5000
Be10 0.5000 0.8506 0.3506
Be11 0.7891 0.0000 0.7891
Be12 0.8506 0.5000 0.3506
Mo1 0.5000 0.5000 0.0000



(4)
Starting from a crystal structure in the Materials Project, relaxed with GGA-PBE, the X-ray powder pattern of Be13Mo was simulated for Cu Kα, 1.54184 Å.
Kinematic intensities with the Lorentz-polarization factor, no thermal factor.

Top 10 peaks for 10 to 90 degrees two-theta, in order of rising 2θ:
11.16 deg, intensity 86
21.46 deg, intensity 97
22.42 deg, intensity 100
25.95 deg, intensity 94
28.32 deg, intensity 48
37.02 deg, intensity 39
38.79 deg, intensity 45
43.72 deg, intensity 64
47.26 deg, intensity 36
51.08 deg, intensity 39

Unit cell a=9.7123 b=9.7123 c=9.7123 alpha=60.00 beta=60.00 gamma=60.00
Sites, in units of the cell vectors:
Be1 0.0998 0.6317 0.8842
Be2 0.0998 0.8842 0.6317
Be3 0.0998 0.8842 0.8842
Be4 0.1128 0.3449 0.3449
Be5 0.1128 0.3449 0.6975
Be6 0.1128 0.6975 0.3449
Be7 0.1158 0.1158 0.3683
Be8 0.1158 0.1158 0.9002
Be9 0.1158 0.3683 0.1158
Be10 0.1158 0.3683 0.9002
Be11 0.1158 0.9002 0.1158
Be12 0.1158 0.9002 0.3683
Be13 0.1250 0.1250 0.1250
Be14 0.3025 0.6551 0.6551
Be15 0.3025 0.6551 0.8872
Be16 0.3025 0.8872 0.6551
Be17 0.3449 0.1128 0.3449
Be18 0.3449 0.1128 0.6975
Be19 0.3449 0.3449 0.1128
Be20 0.3449 0.3449 0.6975
Be21 0.3449 0.6975 0.1128
Be22 0.3449 0.6975 0.3449
Be23 0.3683 0.1158 0.1158
Be24 0.3683 0.1158 0.9002
Be25 0.3683 0.9002 0.1158
Be26 0.3750 0.3750 0.3750
Be27 0.6250 0.6250 0.6250
Be28 0.6317 0.0998 0.8842
Be29 0.6317 0.8842 0.0998
Be30 0.6317 0.8842 0.8842
Be31 0.6551 0.3025 0.6551
Be32 0.6551 0.3025 0.8872
Be33 0.6551 0.6551 0.3025
Be34 0.6551 0.6551 0.8872
Be35 0.6551 0.8872 0.3025
Be36 0.6551 0.8872 0.6551
Be37 0.6975 0.1128 0.3449
Be38 0.6975 0.3449 0.1128
Be39 0.6975 0.3449 0.3449
Be40 0.8750 0.8750 0.8750
Be41 0.8842 0.0998 0.6317
Be42 0.8842 0.0998 0.8842
Be43 0.8842 0.6317 0.0998
Be44 0.8842 0.6317 0.8842
Be45 0.8842 0.8842 0.0998
Be46 0.8842 0.8842 0.6317
Be47 0.8872 0.3025 0.6551
Be48 0.8872 0.6551 0.3025
Be49 0.8872 0.6551 0.6551
Be50 0.9002 0.1158 0.1158
Be51 0.9002 0.1158 0.3683
Be52 0.9002 0.3683 0.1158
Mo1 0.0000 0.5000 0.5000
Mo2 0.5000 0.0000 0.5000
Mo3 0.5000 0.5000 0.0000
Mo4 0.5000 0.5000 0.5000



Question: Number 3 is which compound?
Answer: Be12Mo



Question: Number 4 is which compound?
Answer: Be13Mo